Theoretical X-ray powder pattern
Compound: ZnWF4
Radiation: Cu Kα (weighted mean of Kα1 and Kα2)
Structure: a crystal structure in Alexandria, relaxed with GGA+U
No peak broadening, texture or thermal motion is included.

Structural model:
a = 5.458 Å, b = 5.509 Å, c = 6.582 Å
α = 102.88°, β = 97.65°, γ = 99.70°
Atoms (fractional coordinates):
Zn 0.000 0.000 0.000
Zn 0.408 0.826 0.378
W 0.044 0.310 0.590
W 0.658 0.300 0.025
F 0.107 0.992 0.367
F 0.337 0.607 0.579
F 0.339 0.185 0.766
F 0.414 0.040 0.131
F 0.422 0.560 0.131
F 0.715 0.033 0.564
F 0.845 0.442 0.349
F 0.902 0.535 0.859

Top 6 peaks for 2θ = 10–80°, by angle:
hkl, 2θ (°), Rel. int.
0 1 0, 16.87, 100
1 0 1, 23.77, 79
1 -1 1, 24.82, 47
1 1 -1, 26.12, 86
-1 1 1, 26.24, 97
0 1 -2, 29.11, 51